The following is a theoretical PXRD pattern of Dy2P4Rh5. It was derived from a crystal structure in Alexandria, relaxed with PBE, using Cu Kα.

Top 6 peaks for 2θ = 10–80°, low angle first:
2θ = 26.79°, d = 3.328 Å, I 781
2θ = 31.53°, d = 2.837 Å, I 885
2θ = 37.61°, d = 2.391 Å, I 471
2θ = 37.93°, d = 2.372 Å, I 663
2θ = 38.19°, d = 2.357 Å, I 1000
2θ = 42.08°, d = 2.147 Å, I 660

Cell and atoms:
a b c (Å): 8.5177 7.5505 5.4962
angles (deg): 79.82 60.75 39.43
Atoms (fractional coordinates):
1 Dy 0.1341 0.1341 0.8659
2 Dy 0.8659 0.8659 0.1341
3 P 0.2147 0.5268 0.4732
4 P 0.4732 0.7853 0.2147
5 P 0.5268 0.2147 0.7853
6 P 0.7853 0.4732 0.5268
7 Rh 0.0000 0.0000 0.5000
8 Rh 0.2500 0.2500 0.2500
9 Rh 0.5000 0.5000 0.0000
10 Rh 0.5000 0.5000 0.5000
11 Rh 0.7500 0.7500 0.7500